NaSeO3: computed X-ray powder pattern (Cu Kα, 1.54184 Å), based on a DFT-relaxed cell (GGA-PBE, the Materials Project).
Intensities are scaled so that the largest is 100.

Crystal structure
Cell: 22.6685 5.9031 10.4876 Å, 90.00 101.78 90.00°
Space group C2/c (No. 15)
Symmetry-distinct sites (fractional):
Na 0.1241 0.2255 0.3339 (multiplicity 8)
Na 0.2000 0.2185 0.7161 (multiplicity 8)
Se 0.0542 0.2755 0.6144 (multiplicity 8)
Se 0.1671 0.2789 0.0422 (multiplicity 8)
O 0.0527 0.3419 0.4586 (multiplicity 8)
O 0.0756 0.0025 0.6439 (multiplicity 8)
O 0.1066 0.4387 0.7120 (multiplicity 8)
O 0.1857 0.0903 0.9350 (multiplicity 8)
O 0.1988 0.4674 0.5232 (multiplicity 8)
O 0.1996 0.1822 0.1921 (multiplicity 8)

Top 10 peaks for 10 to 90 degrees two-theta, in order of rising 2θ:
- 2θ 17.38, rel. 52, (1 1 -1)
- 2θ 20.49, rel. 41, (2 0 2)
- 2θ 22.10, rel. 100, (3 1 1)
- 2θ 25.19, rel. 81, (5 1 -1)
- 2θ 26.68, rel. 65, (6 0 -2)
- 2θ 27.92, rel. 70, (5 1 1)
- 2θ 30.28, rel. 39, (0 2 0)
- 2θ 30.48, rel. 56, (3 1 -3)
- 2θ 32.27, rel. 38, (8 0 0)
- 2θ 40.83, rel. 39, (10 0 -2)